Tl3HgF2: simulated X-ray powder pattern (Cu Kα), based on a DFT-relaxed cell (GGA-PBE, Alexandria).
Lines closer than 0.1° are merged.

Top 10 peaks for 10° ≤ 2θ ≤ 90°, most intense first:
2θ = 28.15°, rel. 100
2θ = 29.70°, rel. 49
2θ = 42.50°, rel. 23
2θ = 51.81°, rel. 19
2θ = 51.71°, rel. 18
2θ = 48.83°, rel. 12
2θ = 84.71°, rel. 10
2θ = 32.80°, rel. 9
2θ = 58.21°, rel. 8
2θ = 69.13°, rel. 8

Cell and atoms:
```
data_Tl3HgF2
_space_group_name_H-M_alt 'P 1'
_space_group_IT_number 1
_cell_length_a 7.674
_cell_length_b 7.674
_cell_length_c 6.008
_cell_angle_alpha 90.00
_cell_angle_beta 90.00
_cell_angle_gamma 103.43
loop_
_space_group_symop_operation_xyz
'x,y,z'
loop_
_atom_site_label
_atom_site_type_symbol
_atom_site_fract_x
_atom_site_fract_y
_atom_site_fract_z
Tl1 Tl 0.116 0.884 0.750
Tl2 Tl 0.174 0.431 0.750
Tl3 Tl 0.431 0.174 0.250
Tl4 Tl 0.569 0.826 0.750
Tl5 Tl 0.826 0.569 0.250
Tl6 Tl 0.884 0.116 0.250
Hg1 Hg 0.366 0.634 0.250
Hg2 Hg 0.634 0.366 0.750
F1 F 0.165 0.165 0.000
F2 F 0.165 0.165 0.500
F3 F 0.835 0.835 0.000
F4 F 0.835 0.835 0.500
```



LiLa4Nd3Te8: simulated X-ray powder pattern (Cu Kα), based on a DFT-relaxed cell (GGA-PBE, Alexandria).
Lines closer than 0.1° are merged.

Top 10 peaks for 10° ≤ 2θ ≤ 90°, most intense first:
2θ = 27.89°, rel. 100
2θ = 39.74°, rel. 39
2θ = 39.96°, rel. 38
2θ = 49.25°, rel. 21
2θ = 65.06°, rel. 18
2θ = 65.36°, rel. 17
2θ = 72.28°, rel. 13
2θ = 57.62°, rel. 13
2θ = 49.61°, rel. 7
2θ = 72.13°, rel. 6

Cell and atoms:
```
data_LiLa4Nd3Te8
_space_group_name_H-M_alt 'P 1'
_space_group_IT_number 1
_cell_length_a 9.026
_cell_length_b 9.026
_cell_length_c 9.026
_cell_angle_alpha 60.34
_cell_angle_beta 60.34
_cell_angle_gamma 60.34
loop_
_space_group_symop_operation_xyz
'x,y,z'
loop_
_atom_site_label
_atom_site_type_symbol
_atom_site_fract_x
_atom_site_fract_y
_atom_site_fract_z
Li1 Li 0.000 0.000 0.000
La1 La 0.000 0.000 0.500
La2 La 0.000 0.500 0.000
La3 La 0.500 0.000 0.000
La4 La 0.500 0.500 0.500
Nd1 Nd 0.000 0.500 0.500
Nd2 Nd 0.500 0.000 0.500
Nd3 Nd 0.500 0.500 0.000
Te1 Te 0.242 0.242 0.755
Te2 Te 0.242 0.755 0.242
Te3 Te 0.245 0.758 0.758
Te4 Te 0.251 0.251 0.251
Te5 Te 0.749 0.749 0.749
Te6 Te 0.755 0.242 0.242
Te7 Te 0.758 0.245 0.758
Te8 Te 0.758 0.758 0.245
```



MnP2BrCl: simulated X-ray powder pattern (Cu Kα), based on a DFT-relaxed cell (GGA-PBE, Alexandria).
Lines closer than 0.1° are merged.

Top 10 peaks for 10° ≤ 2θ ≤ 90°, most intense first:
2θ = 27.63°, rel. 100
2θ = 40.67°, rel. 90
2θ = 34.35°, rel. 81
2θ = 57.05°, rel. 62
2θ = 28.45°, rel. 57
2θ = 38.24°, rel. 54
2θ = 49.87°, rel. 39
2θ = 72.40°, rel. 30
2θ = 58.87°, rel. 28
2θ = 48.34°, rel. 25

Cell and atoms:
```
data_MnP2BrCl
_space_group_name_H-M_alt 'P 1'
_space_group_IT_number 1
_cell_length_a 4.437
_cell_length_b 4.437
_cell_length_c 4.707
_cell_angle_alpha 90.00
_cell_angle_beta 90.00
_cell_angle_gamma 90.00
loop_
_space_group_symop_operation_xyz
'x,y,z'
loop_
_atom_site_label
_atom_site_type_symbol
_atom_site_fract_x
_atom_site_fract_y
_atom_site_fract_z
Mn1 Mn 0.000 0.000 0.000
P1 P 0.000 0.500 0.000
P2 P 0.500 0.000 0.000
Br1 Br 0.500 0.500 0.500
Cl1 Cl 0.000 0.000 0.500
```



Gd2MgS4: simulated X-ray powder pattern (Cu Kα), based on a DFT-relaxed cell (GGA-PBE, Alexandria).
Lines closer than 0.1° are merged.

Top 10 peaks for 10° ≤ 2θ ≤ 90°, most intense first:
2θ = 13.61°, rel. 100
2θ = 26.23°, rel. 97
2θ = 31.77°, rel. 87
2θ = 45.54°, rel. 78
2θ = 41.65°, rel. 41
2θ = 27.42°, rel. 29
2θ = 75.46°, rel. 27
2θ = 34.70°, rel. 26
2θ = 47.75°, rel. 26
2θ = 84.19°, rel. 26

Cell and atoms:
```
data_Gd2MgS4
_space_group_name_H-M_alt 'P 1'
_space_group_IT_number 1
_cell_length_a 7.967
_cell_length_b 7.967
_cell_length_c 7.967
_cell_angle_alpha 60.00
_cell_angle_beta 60.00
_cell_angle_gamma 60.00
loop_
_space_group_symop_operation_xyz
'x,y,z'
loop_
_atom_site_label
_atom_site_type_symbol
_atom_site_fract_x
_atom_site_fract_y
_atom_site_fract_z
Gd1 Gd 0.000 0.000 0.000
Gd2 Gd 0.000 0.000 0.500
Gd3 Gd 0.000 0.500 0.000
Gd4 Gd 0.500 0.000 0.000
Mg1 Mg 0.375 0.375 0.375
Mg2 Mg 0.625 0.625 0.625
S1 S 0.238 0.754 0.754
S2 S 0.246 0.246 0.246
S3 S 0.246 0.246 0.762
S4 S 0.246 0.762 0.246
S5 S 0.754 0.238 0.754
S6 S 0.754 0.754 0.238
S7 S 0.754 0.754 0.754
S8 S 0.762 0.246 0.246
```



CuPb2Se2: simulated X-ray powder pattern (Cu Kα), based on a DFT-relaxed cell (GGA-PBE, Alexandria).
Lines closer than 0.1° are merged.

Top 10 peaks for 10° ≤ 2θ ≤ 90°, most intense first:
2θ = 33.26°, rel. 100
2θ = 55.96°, rel. 23
2θ = 36.37°, rel. 23
2θ = 39.67°, rel. 21
2θ = 27.77°, rel. 19
2θ = 54.91°, rel. 16
2θ = 63.47°, rel. 16
2θ = 25.14°, rel. 15
2θ = 24.79°, rel. 14
2θ = 80.19°, rel. 12

Cell and atoms:
```
data_CuPb2Se2
_space_group_name_H-M_alt 'P 1'
_space_group_IT_number 1
_cell_length_a 7.184
_cell_length_b 7.184
_cell_length_c 4.941
_cell_angle_alpha 90.00
_cell_angle_beta 90.00
_cell_angle_gamma 90.00
loop_
_space_group_symop_operation_xyz
'x,y,z'
loop_
_atom_site_label
_atom_site_type_symbol
_atom_site_fract_x
_atom_site_fract_y
_atom_site_fract_z
Cu1 Cu 0.000 0.000 0.000
Cu2 Cu 0.500 0.500 0.000
Pb1 Pb 0.161 0.339 0.500
Pb2 Pb 0.339 0.839 0.500
Pb3 Pb 0.661 0.161 0.500
Pb4 Pb 0.839 0.661 0.500
Se1 Se 0.185 0.685 0.000
Se2 Se 0.315 0.185 0.000
Se3 Se 0.685 0.815 0.000
Se4 Se 0.815 0.315 0.000
```



Ac4SmPb5: simulated X-ray powder pattern (Cu Kα), based on a DFT-relaxed cell (GGA-PBE, Alexandria).
Lines closer than 0.1° are merged.

Top 10 peaks for 10° ≤ 2θ ≤ 90°, most intense first:
2θ = 30.17°, rel. 100
2θ = 33.12°, rel. 41
2θ = 57.35°, rel. 34
2θ = 51.64°, rel. 21
2θ = 47.54°, rel. 15
2θ = 38.46°, rel. 12
2θ = 62.74°, rel. 12
2θ = 83.94°, rel. 9
2θ = 64.50°, rel. 9
2θ = 77.61°, rel. 7

Cell and atoms:
```
data_Ac4SmPb5
_space_group_name_H-M_alt 'P 1'
_space_group_IT_number 1
_cell_length_a 3.825
_cell_length_b 3.825
_cell_length_c 23.406
_cell_angle_alpha 90.00
_cell_angle_beta 90.00
_cell_angle_gamma 90.00
loop_
_space_group_symop_operation_xyz
'x,y,z'
loop_
_atom_site_label
_atom_site_type_symbol
_atom_site_fract_x
_atom_site_fract_y
_atom_site_fract_z
Ac1 Ac 0.000 0.000 0.102
Ac2 Ac 0.000 0.000 0.307
Ac3 Ac 0.000 0.000 0.693
Ac4 Ac 0.000 0.000 0.898
Sm1 Sm 0.000 0.000 0.500
Pb1 Pb 0.500 0.500 0.000
Pb2 Pb 0.500 0.500 0.204
Pb3 Pb 0.500 0.500 0.409
Pb4 Pb 0.500 0.500 0.591
Pb5 Pb 0.500 0.500 0.796
```